Dy5Ho2Sc2: computed powder diffraction line list (copper Kα), based on a cell relaxed with PBE.
No peak broadening, texture or thermal motion is included.

Atomic structure:
a = 11.601 Å, b = 11.601 Å, c = 11.601 Å
α = 57.84°, β = 130.05°, γ = 152.72°
Element x y z (fractional)
Dy (0.054, 0.752, 0.802)
Dy (0.139, 0.110, 0.250)
Dy (0.139, 0.390, 0.529)
Dy (0.372, 0.664, 0.032)
Dy (0.372, 0.840, 0.208)
Dy (0.632, 0.164, 0.792)
Dy (0.632, 0.340, 0.968)
Dy (0.861, 0.610, 0.471)
Dy (0.861, 0.890, 0.750)
Dy (0.950, 0.252, 0.198)
Ho (0.339, 0.252, 0.588)
Ho (0.501, 0.001, 0.500)
Ho (0.501, 0.501, 0.000)
Ho (0.664, 0.752, 0.412)
Sc (0.163, 0.550, 0.710)
Sc (0.163, 0.953, 0.113)
Sc (0.840, 0.050, 0.887)
Sc (0.840, 0.453, 0.290)

Peak list (12 most intense, 10 to 90 degrees two-theta, most intense first)
2θ (°), d_spacing, I/Imax
33.00, 2.715, 100.0
33.14, 2.703, 80.6
32.73, 2.736, 73.0
27.77, 3.212, 69.9
32.42, 2.762, 65.0
32.18, 2.782, 35.4
58.63, 1.574, 34.6
46.56, 1.951, 27.7
55.89, 1.645, 26.1
40.90, 2.206, 19.2
67.02, 1.396, 19.1
24.79, 3.592, 16.9

***

LaAg4: computed powder diffraction line list (copper Kα), based on a cell relaxed with PBE.
No peak broadening, texture or thermal motion is included.

Atomic structure:
a = 12.320 Å, b = 12.320 Å, c = 12.320 Å
α = 14.85°, β = 14.85°, γ = 14.85°
Element x y z (fractional)
La (0.000, 0.000, 0.000)
Ag (0.197, 0.197, 0.197)
Ag (0.409, 0.409, 0.409)
Ag (0.591, 0.591, 0.591)
Ag (0.803, 0.803, 0.803)

Peak list (12 most intense, 10 to 90 degrees two-theta, most intense first)
2θ (°), d_spacing, I/Imax
34.77, 2.580, 100.0
41.00, 2.201, 56.4
36.89, 2.437, 25.1
57.92, 1.592, 22.5
70.68, 1.333, 18.3
69.36, 1.355, 13.4
60.81, 1.523, 11.5
73.39, 1.290, 9.5
88.93, 1.101, 5.2
29.33, 3.046, 5.2
73.29, 1.292, 4.4
54.09, 1.695, 4.3